Record 1
For LaPm7Pr2, a crystal structure in Alexandria, relaxed with PBE gives the simulated XRD peak list in this record (Cu Kα (weighted mean of Kα1 and Kα2)).
Lines closer than 0.1° are merged.

Cell and atoms:
Unit cell a=6.363 b=6.366 c=9.736 alpha=70.95 beta=70.93 gamma=80.36
Space group P-1 (No. 2)
One atom of each set of equivalent atoms:
1 La 0.000 0.000 0.000 (multiplicity 1)
2 Pm 0.101 0.499 0.300 (multiplicity 2)
3 Pm 0.302 0.499 0.900 (multiplicity 2)
4 Pm 0.400 0.000 0.200 (multiplicity 2)
5 Pm 0.500 0.500 0.500 (multiplicity 1)
6 Pr 0.200 0.001 0.600 (multiplicity 2)

The 10 most intense peaks (10 to 80 degrees two-theta), by angle:
two_theta, I (rel.)
29.76, 100
34.50, 51
49.58, 30
49.63, 6
58.86, 22
58.95, 22
61.75, 3
61.82, 9
72.64, 2
72.80, 4



Record 2
For La5Pm2Pr6, a crystal structure in Alexandria, relaxed with PBE gives the simulated XRD peak list in this record (Cu Kα (weighted mean of Kα1 and Kα2)).
Lines closer than 0.1° are merged.

Cell and atoms:
Unit cell a=12.057 b=21.290 c=3.714 alpha=90.00 beta=90.00 gamma=90.00
Space group Pbam (No. 55)
One atom of each set of equivalent atoms:
1 La 0.000 0.000 0.000 (multiplicity 2)
2 La 0.082 0.274 0.000 (multiplicity 4)
3 La 0.200 0.551 0.000 (multiplicity 4)
4 Pm 0.173 0.712 0.500 (multiplicity 4)
5 Pr 0.059 0.420 0.500 (multiplicity 4)
6 Pr 0.082 0.132 0.500 (multiplicity 4)
7 Pr 0.178 0.864 0.000 (multiplicity 4)

The 10 most intense peaks (10 to 80 degrees two-theta), by angle:
two_theta, I (rel.)
29.94, 56
30.29, 100
30.59, 16
30.96, 81
32.95, 33
33.69, 20
35.25, 29
49.06, 20
58.53, 19
58.76, 16



Record 3
For La2Pm3Pr7, a crystal structure in Alexandria, relaxed with PBE gives the simulated XRD peak list in this record (Cu Kα (weighted mean of Kα1 and Kα2)).
Lines closer than 0.1° are merged.

Cell and atoms:
Unit cell a=6.083 b=3.678 c=19.521 alpha=90.00 beta=93.16 gamma=90.00
Space group P2/m (No. 10)
One atom of each set of equivalent atoms:
1 La 0.203 0.000 0.297 (multiplicity 2)
2 Pm 0.000 0.000 0.000 (multiplicity 1)
3 Pm 0.286 0.500 0.631 (multiplicity 2)
4 Pr 0.181 0.500 0.144 (multiplicity 2)
5 Pr 0.243 0.000 0.464 (multiplicity 2)
6 Pr 0.317 0.000 0.823 (multiplicity 2)
7 Pr 0.500 0.500 0.000 (multiplicity 1)

The 10 most intense peaks (10 to 80 degrees two-theta), by angle:
two_theta, I (rel.)
27.46, 30
29.41, 22
29.54, 71
30.10, 100
30.47, 65
31.23, 28
31.95, 39
33.46, 33
49.57, 21
52.03, 25



Record 4
For La12Pm7Pr, a crystal structure in Alexandria, relaxed with PBE gives the simulated XRD peak list in this record (Cu Kα (weighted mean of Kα1 and Kα2)).
Lines closer than 0.1° are merged.

Cell and atoms:
Unit cell a=18.9867 b=18.9867 c=7.0823 alpha=90.00 beta=90.00 gamma=120.00
Space group R-3 (No. 148, hexagonal axes)
One atom of each set of equivalent atoms:
1 La 0.0016 0.7857 0.2898 (multiplicity 18)
2 La 0.0083 0.4694 0.7388 (multiplicity 18)
3 Pm 0.0000 0.0000 0.5000 (multiplicity 3)
4 Pm 0.0062 0.8498 0.7714 (multiplicity 18)
5 Pr 0.0000 0.0000 0.0000 (multiplicity 3)

The 10 most intense peaks (10 to 80 degrees two-theta), by angle:
two_theta, I (rel.)
24.81, 31
26.78, 100
29.02, 89
31.44, 24
32.00, 52
32.68, 71
34.75, 36
40.46, 53
46.02, 27
56.63, 34



Record 5
For La5Pm3Pr, a crystal structure in Alexandria, relaxed with PBE gives the simulated XRD peak list in this record (Cu Kα (weighted mean of Kα1 and Kα2)).
Lines closer than 0.1° are merged.

Cell and atoms:
Unit cell a=8.963 b=8.963 c=16.181 alpha=90.00 beta=90.00 gamma=90.00
Space group I4/mcm (No. 140)
One atom of each set of equivalent atoms:
1 La 0.000 0.000 0.000 (multiplicity 4)
2 La 0.199 0.301 0.138 (multiplicity 16)
3 Pm 0.000 0.000 0.250 (multiplicity 4)
4 Pm 0.119 0.381 0.500 (multiplicity 8)
5 Pr 0.000 0.500 0.250 (multiplicity 4)

The 10 most intense peaks (10 to 80 degrees two-theta), by angle:
two_theta, I (rel.)
27.73, 71
28.16, 47
29.75, 100
31.57, 20
35.66, 16
36.57, 19
44.81, 14
44.96, 14
50.84, 17
58.25, 16



Record 6
For La5Pm3Pr, a crystal structure in Alexandria, relaxed with PBE gives the simulated XRD peak list in this record (Cu Kα (weighted mean of Kα1 and Kα2)).
Lines closer than 0.1° are merged.

Cell and atoms:
Unit cell a=19.137 b=6.664 c=11.596 alpha=90.00 beta=114.62 gamma=90.00
Space group C2/c (No. 15)
One atom of each set of equivalent atoms:
1 La 0.000 0.094 0.250 (multiplicity 4)
2 La 0.168 0.191 0.713 (multiplicity 8)
3 La 0.170 0.322 0.362 (multiplicity 8)
4 Pm 0.000 0.500 0.000 (multiplicity 4)
5 Pm 0.161 0.204 0.015 (multiplicity 8)
6 Pr 0.000 0.366 0.750 (multiplicity 4)

The 10 most intense peaks (10 to 80 degrees two-theta), by angle:
two_theta, I (rel.)
23.69, 24
27.10, 26
28.69, 43
30.71, 82
30.84, 100
31.04, 86
31.16, 55
32.75, 42
33.89, 26
43.68, 20



Record 7
For La12Pm5Pr, a crystal structure in Alexandria, relaxed with PBE gives the simulated XRD peak list in this record (Cu Kα (weighted mean of Kα1 and Kα2)).
Lines closer than 0.1° are merged.

Cell and atoms:
Unit cell a=19.270 b=11.093 c=6.433 alpha=90.00 beta=109.30 gamma=90.00
Space group C2/m (No. 12)
One atom of each set of equivalent atoms:
1 La 0.000 0.168 0.000 (multiplicity 4)
2 La 0.000 0.331 0.500 (multiplicity 4)
3 La 0.167 0.169 0.834 (multiplicity 8)
4 La 0.167 0.331 0.334 (multiplicity 8)
5 Pm 0.000 0.000 0.500 (multiplicity 2)
6 Pm 0.167 0.000 0.334 (multiplicity 4)
7 Pm 0.167 0.500 0.833 (multiplicity 4)
8 Pr 0.000 0.500 0.000 (multiplicity 2)

The 10 most intense peaks (10 to 80 degrees two-theta), by angle:
two_theta, I (rel.)
29.50, 100
34.09, 17
34.25, 34
49.11, 30
49.29, 6
58.22, 15
58.42, 22
58.48, 7
61.25, 9
79.62, 9



Record 8
For La4Pm4Pr3, a crystal structure in Alexandria, relaxed with PBE gives the simulated XRD peak list in this record (Cu Kα (weighted mean of Kα1 and Kα2)).
Lines closer than 0.1° are merged.

Cell and atoms:
Unit cell a=11.016 b=5.904 c=12.230 alpha=90.00 beta=90.00 gamma=90.00
Space group Amm2 (No. 38)
One atom of each set of equivalent atoms:
1 La 0.000 0.000 0.000 (multiplicity 2)
2 La 0.207 0.000 0.803 (multiplicity 4)
3 La 0.500 0.000 0.926 (multiplicity 2)
4 Pm 0.000 0.000 0.594 (multiplicity 2)
5 Pm 0.304 0.000 0.149 (multiplicity 4)
6 Pm 0.500 0.000 0.649 (multiplicity 2)
7 Pr 0.000 0.000 0.295 (multiplicity 2)
8 Pr 0.295 0.000 0.452 (multiplicity 4)

The 10 most intense peaks (10 to 80 degrees two-theta), by angle:
two_theta, I (rel.)
29.57, 35
30.30, 57
31.22, 100
32.51, 14
43.40, 13
45.02, 11
51.10, 11
54.38, 21
60.56, 14
60.77, 16



Record 9
For LaPm12Pr2, a crystal structure in Alexandria, relaxed with PBE gives the simulated XRD peak list in this record (Cu Kα (weighted mean of Kα1 and Kα2)).
Lines closer than 0.1° are merged.

Cell and atoms:
Unit cell a=9.300 b=9.312 c=25.673 alpha=90.00 beta=90.00 gamma=90.00
Space group Cmme (No. 67)
One atom of each set of equivalent atoms:
1 La 0.000 0.250 0.000 (multiplicity 4)
2 Pm 0.000 0.065 0.116 (multiplicity 8)
3 Pm 0.000 0.082 0.561 (multiplicity 8)
4 Pm 0.168 0.250 0.439 (multiplicity 8)
5 Pm 0.185 0.250 0.884 (multiplicity 8)
6 Pm 0.250 0.000 0.217 (multiplicity 8)
7 Pm 0.250 0.000 0.339 (multiplicity 8)
8 Pr 0.000 0.250 0.268 (multiplicity 4)
9 Pr 0.000 0.250 0.732 (multiplicity 4)

The 10 most intense peaks (10 to 80 degrees two-theta), by angle:
two_theta, I (rel.)
20.30, 39
27.99, 82
29.08, 59
30.53, 66
31.05, 100
31.18, 95
31.36, 60
33.50, 44
35.15, 52
54.59, 54



Record 10
For LaPmPr4, a crystal structure in Alexandria, relaxed with PBE gives the simulated XRD peak list in this record (Cu Kα (weighted mean of Kα1 and Kα2)).
Lines closer than 0.1° are merged.

Cell and atoms:
Unit cell a=5.901 b=10.153 c=9.297 alpha=90.00 beta=129.33 gamma=90.00
Space group P2/c (No. 13)
One atom of each set of equivalent atoms:
1 La 0.000 0.250 0.250 (multiplicity 2)
2 Pm 0.500 0.250 0.750 (multiplicity 2)
3 Pr 0.249 0.082 0.999 (multiplicity 4)
4 Pr 0.249 0.418 0.999 (multiplicity 4)

The 10 most intense peaks (10 to 80 degrees two-theta), by angle:
two_theta, I (rel.)
30.29, 22
30.44, 100
43.50, 15
43.65, 7
53.90, 16
54.05, 7
54.17, 12
60.36, 15
63.36, 5
77.22, 6



Record 11
For La2PmPr7, a crystal structure in Alexandria, relaxed with PBE gives the simulated XRD peak list in this record (Cu Kα (weighted mean of Kα1 and Kα2)).
Lines closer than 0.1° are merged.

Cell and atoms:
Unit cell a=6.868 b=3.514 c=15.211 alpha=90.00 beta=98.81 gamma=90.00
Space group P2/m (No. 10)
One atom of each set of equivalent atoms:
1 La 0.135 0.000 0.410 (multiplicity 2)
2 Pm 0.000 0.500 0.000 (multiplicity 1)
3 Pr 0.181 0.000 0.800 (multiplicity 2)
4 Pr 0.309 0.000 0.199 (multiplicity 2)
5 Pr 0.381 0.500 0.611 (multiplicity 2)
6 Pr 0.500 0.000 0.000 (multiplicity 1)

The 10 most intense peaks (10 to 80 degrees two-theta), by angle:
two_theta, I (rel.)
29.44, 58
29.69, 100
30.23, 18
30.52, 52
31.08, 18
36.09, 24
47.80, 18
60.92, 19
61.08, 25
61.54, 15



Record 12
For La2Pm2Pr7, a crystal structure in Alexandria, relaxed with PBE gives the simulated XRD peak list in this record (Cu Kα (weighted mean of Kα1 and Kα2)).
Lines closer than 0.1° are merged.

Cell and atoms:
Unit cell a=11.702 b=11.862 c=6.260 alpha=90.00 beta=112.22 gamma=90.00
Space group C2/m (No. 12)
One atom of each set of equivalent atoms:
1 La 0.228 0.000 0.090 (multiplicity 4)
2 Pm 0.000 0.219 0.000 (multiplicity 4)
3 Pr 0.000 0.000 0.500 (multiplicity 2)
4 Pr 0.081 0.500 0.304 (multiplicity 4)
5 Pr 0.178 0.235 0.676 (multiplicity 8)

The 10 most intense peaks (10 to 80 degrees two-theta), by angle:
two_theta, I (rel.)
24.77, 22
29.72, 28
30.14, 52
30.50, 100
30.70, 27
32.71, 37
32.82, 29
43.56, 16
48.26, 16
53.75, 15